For Cs5AuO, DFT lattice parameters and positions (PBE) gives the calculated X-ray diffraction stick pattern in this record (CuKα).

Atomic structure:
Cell: 13.6746 11.6822 13.2348 Å, 90.00 90.00 90.00°
Sites, in units of the cell vectors:
Cs1 0.0463 0.2500 0.0290
Cs2 0.1188 0.7500 0.3473
Cs3 0.1263 0.5684 0.7433
Cs4 0.1263 0.9316 0.7433
Cs5 0.2185 0.2500 0.4850
Cs6 0.2815 0.7500 0.9850
Cs7 0.3737 0.0684 0.2433
Cs8 0.3737 0.4316 0.2433
Cs9 0.3812 0.2500 0.8473
Cs10 0.4537 0.7500 0.5290
Cs11 0.5463 0.2500 0.4710
Cs12 0.6188 0.7500 0.1527
Cs13 0.6263 0.5684 0.7567
Cs14 0.6263 0.9316 0.7567
Cs15 0.7185 0.2500 0.0150
Cs16 0.7815 0.7500 0.5150
Cs17 0.8737 0.0684 0.2567
Cs18 0.8737 0.4316 0.2567
Cs19 0.8812 0.2500 0.6527
Cs20 0.9537 0.7500 0.9710
Au1 0.1276 0.2500 0.7593
Au2 0.3724 0.7500 0.2593
Au3 0.6276 0.2500 0.7407
Au4 0.8724 0.7500 0.2407
O1 0.1215 0.7500 0.8681
O2 0.3785 0.2500 0.3681
O3 0.6215 0.7500 0.6319
O4 0.8785 0.2500 0.1319

Principal peaks in the range 2θ = 10–80°, by angle:
2θ 14.6, d 6.075, I = 100, hkl 2 0 1
2θ 15.2, d 5.841, I = 73, hkl 0 2 0
2θ 23.8, d 3.736, I = 69, hkl 0 3 1
2θ 24.0, d 3.707, I = 74, hkl 2 0 3
2θ 29.4, d 3.037, I = 65, hkl 4 0 2
2θ 38.0, d 2.366, I = 68, hkl 2 3 4